Starting from a DFT-relaxed cell (PBE, Alexandria), the powder XRD pattern of TbSc2Ga9 was simulated for copper Kα.

Cell and atoms:
```
TbSc2Ga9
1.0
4.175 0.000 0.000
0.000 4.175 0.000
0.000 0.000 12.510
Tb Sc Ga
1 2 9
Direct
0.000 0.000 0.000
0.000 0.000 0.338
0.000 0.000 0.662
0.000 0.500 0.175
0.000 0.500 0.500
0.000 0.500 0.825
0.500 0.000 0.175
0.500 0.000 0.500
0.500 0.000 0.825
0.500 0.500 0.000
0.500 0.500 0.335
0.500 0.500 0.665
```

Principal peaks in the range 10° ≤ 2θ ≤ 90°, by angle:
| two_theta | intensity |
| --- | --- |
| 22.45 | 5 |
| 25.65 | 4 |
| 33.57 | 3 |
| 37.32 | 100 |
| 43.36 | 49 |
| 63.00 | 30 |
| 75.56 | 35 |
| 79.57 | 10 |

=====

Starting from a DFT-relaxed cell (PBE, Alexandria), the powder XRD pattern of Tb2Sc3Ga4 was simulated for copper Kα.

Cell and atoms:
```
Tb2Sc3Ga4
1.0
7.582 0.000 0.000
0.000 7.586 0.000
-2.251 0.000 6.947
Tb Sc Ga
4 6 8
Direct
0.193 0.177 0.072
0.193 0.323 0.572
0.807 0.677 0.428
0.807 0.823 0.928
0.247 0.675 0.248
0.247 0.825 0.748
0.500 0.000 0.500
0.500 0.500 0.000
0.753 0.175 0.252
0.753 0.325 0.752
0.080 0.534 0.864
0.080 0.966 0.364
0.496 0.122 0.873
0.496 0.378 0.373
0.504 0.622 0.627
0.504 0.878 0.127
0.920 0.034 0.636
0.920 0.466 0.136
```

Principal peaks in the range 10° ≤ 2θ ≤ 90°, by angle:
| two_theta | intensity |
| --- | --- |
| 16.96 | 73 |
| 31.21 | 67 |
| 32.01 | 77 |
| 33.84 | 100 |
| 34.03 | 95 |
| 34.35 | 90 |
| 37.87 | 76 |
| 38.86 | 63 |